Record 1
Structure and computed X-ray diffraction stick pattern of Ti6Ge5 (a DFT-relaxed cell (GGA-PBE, the Materials Project); Cu Kα).
Kinematic intensities with the Lorentz-polarization factor, no thermal factor.

Principal peaks in the range 10° ≤ 2θ ≤ 90°, sorted by position:
| index | 2θ/deg | d/Å | I (rel.) |
| --- | --- | --- | --- |
| 1 2 3 | 31.72 | 2.821 | 22 |
| 1 3 0 | 36.05 | 2.492 | 27 |
| 1 1 6 | 39.13 | 2.302 | 25 |
| 0 2 6 | 40.02 | 2.253 | 86 |
| 2 0 4 | 40.22 | 2.242 | 67 |
| 2 2 2 | 41.22 | 2.190 | 100 |
| 1 3 4 | 42.76 | 2.115 | 34 |
| 0 4 0 | 42.97 | 2.105 | 35 |
| 2 4 4 | 60.32 | 1.535 | 18 |
| 4 2 6 | 83.28 | 1.160 | 18 |

Structural model:
Cell lengths 5.4146, 8.4189, 16.0015 Å; angles 90.00, 90.00, 90.00 degrees
Space group Immm (No. 71)
Inequivalent atoms, fractional coordinates:
Ti  0.0000  0.0000  0.1537 (multiplicity 4)
Ti  0.0000  0.2827  0.4114 (multiplicity 8)
Ti  0.2460  0.0000  0.5000 (multiplicity 4)
Ti  0.2500  0.2500  0.2500 (multiplicity 8)
Ge  0.0000  0.0000  0.3320 (multiplicity 4)
Ge  0.0000  0.3060  0.1060 (multiplicity 8)
Ge  0.0000  0.5000  0.2948 (multiplicity 4)
Ge  0.2340  0.0000  0.0000 (multiplicity 4)

Record 2
Structure and computed X-ray diffraction stick pattern of Mg2Sn (a DFT-relaxed cell (GGA-PBE, the Materials Project); Cu Kα).
Kinematic intensities with the Lorentz-polarization factor, no thermal factor.

Principal peaks in the range 10° ≤ 2θ ≤ 90°, sorted by position:
| index | 2θ/deg | d/Å | I (rel.) |
| --- | --- | --- | --- |
| 1 0 0 | 17.63 | 5.029 | 26 |
| 0 0 1 | 17.94 | 4.945 | 33 |
| 1 0 1 | 25.26 | 3.526 | 22 |
| 1 1 0 | 30.79 | 2.904 | 43 |
| 1 1 1 | 35.86 | 2.504 | 100 |
| 0 0 2 | 36.34 | 2.472 | 19 |
| 1 1 2 | 48.35 | 1.882 | 25 |
| 3 0 0 | 54.75 | 1.676 | 18 |
| 1 1 3 | 65.07 | 1.433 | 18 |
| 3 0 2 | 67.50 | 1.388 | 19 |

Structural model:
Cell lengths 5.8076, 5.8076, 4.9445 Å; angles 90.00, 90.00, 120.00 degrees
Space group P-62m (No. 189)
Inequivalent atoms, fractional coordinates:
Mg  0.0000  0.0000  0.0000 (multiplicity 1)
Mg  0.0000  0.6662  0.5000 (multiplicity 3)
Sn  0.3333  0.6667  0.0000 (multiplicity 2)

Record 3
Structure and computed X-ray diffraction stick pattern of Dy9Sb5O5 (a DFT-relaxed cell (GGA-PBE, the Materials Project); Cu Kα).
Kinematic intensities with the Lorentz-polarization factor, no thermal factor.

Principal peaks in the range 10° ≤ 2θ ≤ 90°, sorted by position:
| index | 2θ/deg | d/Å | I (rel.) |
| --- | --- | --- | --- |
| 3 1 0 | 28.57 | 3.124 | 43 |
| 0 0 3 | 30.20 | 2.959 | 68 |
| 3 1 1 | 30.34 | 2.946 | 100 |
| 3 1 2 | 35.14 | 2.554 | 93 |
| 2 4 0 | 40.87 | 2.208 | 63 |
| 3 1 3 | 42.07 | 2.148 | 19 |
| 3 1 4 | 50.45 | 1.809 | 19 |
| 2 4 3 | 51.65 | 1.770 | 54 |
| 3 1 5 | 59.93 | 1.543 | 26 |
| 6 2 3 | 67.90 | 1.380 | 34 |

Structural model:
Cell lengths 9.8751, 9.8751, 8.8776 Å; angles 90.00, 90.00, 90.00 degrees
Space group P4/n (No. 85, origin choice 2)
Inequivalent atoms, fractional coordinates:
Dy  0.0241  0.3326  0.0018 (multiplicity 8)
Dy  0.0446  0.8546  0.6583 (multiplicity 8)
Dy  0.2500  0.2500  0.6723 (multiplicity 2)
Sb  0.0546  0.8455  0.3018 (multiplicity 8)
Sb  0.2500  0.2500  0.3185 (multiplicity 2)
O  0.0251  0.8701  0.9132 (multiplicity 8)
O  0.2500  0.2500  0.9362 (multiplicity 2)

Record 4
Structure and computed X-ray diffraction stick pattern of LiCuO2 (a DFT-relaxed cell (GGA-PBE, the Materials Project); Cu Kα).
Kinematic intensities with the Lorentz-polarization factor, no thermal factor.

Principal peaks in the range 10° ≤ 2θ ≤ 90°, sorted by position:
| index | 2θ/deg | d/Å | I (rel.) |
| --- | --- | --- | --- |
| 1 1 0 | 17.84 | 4.972 | 100 |
| 1 0 -1 | 19.33 | 4.592 | 13 |
| 0 2 2 | 27.42 | 3.252 | 65 |
| -1 1 2 | 28.46 | 3.136 | 71 |
| 3 -1 0 | 44.56 | 2.033 | 8 |
| 3 1 2 | 44.65 | 2.029 | 19 |
| 0 3 -1 | 44.76 | 2.025 | 18 |
| -1 3 4 | 54.44 | 1.685 | 9 |
| 1 2 -3 | 56.45 | 1.630 | 11 |
| 4 0 0 | 56.63 | 1.625 | 13 |

Structural model:
Cell lengths 6.5869, 7.7920, 7.9281 Å; angles 66.06, 81.64, 82.98 degrees
Space group P-1 (No. 2)
Inequivalent atoms, fractional coordinates:
Li  0.0864  0.3807  0.1645 (multiplicity 2)
Li  0.1642  0.4175  0.4675 (multiplicity 2)
Li  0.3260  0.0981  0.0442 (multiplicity 2)
Li  0.4135  0.1529  0.6850 (multiplicity 2)
Cu  0.1242  0.9166  0.8258 (multiplicity 2)
Cu  0.1247  0.8377  0.4265 (multiplicity 2)
Cu  0.3652  0.6718  0.0797 (multiplicity 2)
Cu  0.3761  0.5786  0.6780 (multiplicity 2)
O  0.1163  0.1666  0.6650 (multiplicity 2)
O  0.1165  0.5907  0.6011 (multiplicity 2)
O  0.1256  0.0851  0.2504 (multiplicity 2)
O  0.1349  0.6620  0.9757 (multiplicity 2)
O  0.3613  0.4297  0.2546 (multiplicity 2)
O  0.3685  0.9228  0.9152 (multiplicity 2)
O  0.3706  0.8258  0.5144 (multiplicity 2)
O  0.3969  0.3233  0.8261 (multiplicity 2)

Record 5
Structure and computed X-ray diffraction stick pattern of MgAl2H4Pb2O4F6 (a DFT-relaxed cell (GGA-PBE, the Materials Project); Cu Kα).
Kinematic intensities with the Lorentz-polarization factor, no thermal factor.

Principal peaks in the range 10° ≤ 2θ ≤ 90°, sorted by position:
| index | 2θ/deg | d/Å | I (rel.) |
| --- | --- | --- | --- |
| 0 1 1 | 14.97 | 5.917 | 34 |
| 1 0 0 | 18.42 | 4.816 | 100 |
| 1 1 1 | 21.27 | 4.176 | 35 |
| 0 1 -1 | 21.84 | 4.069 | 32 |
| 1 -1 1 | 24.21 | 3.677 | 25 |
| -1 1 1 | 26.15 | 3.407 | 38 |
| 1 0 2 | 26.53 | 3.360 | 62 |
| 0 0 2 | 26.65 | 3.345 | 40 |
| 1 2 2 | 32.11 | 2.787 | 23 |
| 2 -1 1 | 37.50 | 2.398 | 31 |

Structural model:
Cell lengths 5.1482, 7.1990, 7.6003 Å; angles 70.20, 70.49, 89.77 degrees
Space group P1 (No. 1)
Inequivalent atoms, fractional coordinates:
Mg  0.0000  0.0000  0.0000 (multiplicity 1)
Al  0.3835  0.4248  0.6314 (multiplicity 1)
Al  0.4230  0.7757  0.2603 (multiplicity 1)
H  0.0208  0.2475  0.5727 (multiplicity 1)
H  0.0211  0.6787  0.5950 (multiplicity 1)
H  0.7217  0.9582  0.3661 (multiplicity 1)
H  0.8263  0.5754  0.3072 (multiplicity 1)
Pb  0.4501  0.3208  0.1870 (multiplicity 1)
Pb  0.4720  0.9059  0.7076 (multiplicity 1)
O  0.2188  0.6673  0.5398 (multiplicity 1)
O  0.2249  0.2595  0.5301 (multiplicity 1)
O  0.6224  0.5561  0.3482 (multiplicity 1)
O  0.6654  0.9810  0.2467 (multiplicity 1)
F  0.0955  0.2943  0.8748 (multiplicity 1)
F  0.1975  0.6198  0.2076 (multiplicity 1)
F  0.2159  0.9779  0.1845 (multiplicity 1)
F  0.5255  0.5415  0.7650 (multiplicity 1)
F  0.6338  0.2494  0.6691 (multiplicity 1)
F  0.6757  0.8364  0.9939 (multiplicity 1)

Record 6
Structure and computed X-ray diffraction stick pattern of Th2Al8Si2Au5 (a DFT-relaxed cell (GGA-PBE, the Materials Project); Cu Kα).
Kinematic intensities with the Lorentz-polarization factor, no thermal factor.

Principal peaks in the range 10° ≤ 2θ ≤ 90°, sorted by position:
| index | 2θ/deg | d/Å | I (rel.) |
| --- | --- | --- | --- |
| 0 6 1 | 25.56 | 3.485 | 65 |
| 1 7 0 | 27.11 | 3.290 | 100 |
| 1 1 1 | 29.50 | 3.027 | 65 |
| 1 3 1 | 30.36 | 2.944 | 40 |
| 1 5 1 | 32.00 | 2.797 | 34 |
| 1 11 1 | 40.64 | 2.220 | 50 |
| 2 0 0 | 42.06 | 2.148 | 76 |
| 0 18 1 | 50.61 | 1.804 | 27 |
| 1 7 2 | 50.77 | 1.798 | 37 |
| 2 0 2 | 60.99 | 1.519 | 26 |

Structural model:
Cell lengths 4.2983, 35.7738, 4.2955 Å; angles 90.00, 90.00, 90.00 degrees
Space group Cmmm (No. 65)
Inequivalent atoms, fractional coordinates:
Th  0.0000  0.2016  0.0000 (multiplicity 4)
Al  0.0000  0.0419  0.5000 (multiplicity 4)
Al  0.0000  0.1249  0.5000 (multiplicity 4)
Al  0.0000  0.3750  0.0000 (multiplicity 4)
Al  0.0000  0.4583  0.0000 (multiplicity 4)
Si  0.0000  0.2657  0.5000 (multiplicity 4)
Au  0.0000  0.0834  0.0000 (multiplicity 4)
Au  0.0000  0.3346  0.5000 (multiplicity 4)
Au  0.0000  0.5000  0.5000 (multiplicity 2)

Record 7
Structure and computed X-ray diffraction stick pattern of MnIn2Te4 (a DFT-relaxed cell (GGA-PBE, the Materials Project); Cu Kα).
Kinematic intensities with the Lorentz-polarization factor, no thermal factor.

Principal peaks in the range 10° ≤ 2θ ≤ 90°, sorted by position:
| index | 2θ/deg | d/Å | I (rel.) |
| --- | --- | --- | --- |
| 8 0 0 | 24.86 | 3.581 | 29 |
| 3 1 1 | 25.19 | 3.535 | 49 |
| 4 1 1 | 26.51 | 3.362 | 100 |
| 8 0 1 | 27.73 | 3.217 | 53 |
| 8 1 0 | 31.96 | 2.800 | 23 |
| 2 1 2 | 32.49 | 2.756 | 27 |
| 0 2 0 | 40.28 | 2.239 | 37 |
| 0 1 3 | 42.70 | 2.117 | 27 |
| 12 1 0 | 42.86 | 2.110 | 41 |
| 8 2 1 | 49.60 | 1.838 | 21 |

Structural model:
Cell lengths 28.7123, 4.4784, 7.2088 Å; angles 90.00, 90.00, 90.00 degrees
Space group Pnma (No. 62)
Inequivalent atoms, fractional coordinates:
Mn  0.1961  0.2500  0.1379 (multiplicity 4)
In  0.0498  0.7500  0.9294 (multiplicity 4)
In  0.1539  0.7500  0.5294 (multiplicity 4)
Te  0.0072  0.2500  0.7395 (multiplicity 4)
Te  0.1103  0.2500  0.3567 (multiplicity 4)
Te  0.1485  0.7500  0.9235 (multiplicity 4)
Te  0.2389  0.7500  0.3296 (multiplicity 4)

Record 8
Structure and computed X-ray diffraction stick pattern of Sm2Mn12P7 (a DFT-relaxed cell (GGA-PBE, the Materials Project); Cu Kα).
Kinematic intensities with the Lorentz-polarization factor, no thermal factor.

Principal peaks in the range 10° ≤ 2θ ≤ 90°, sorted by position:
| index | 2θ/deg | d/Å | I (rel.) |
| --- | --- | --- | --- |
| 1 0 1 | 26.93 | 3.311 | 11 |
| 1 2 0 | 29.26 | 3.052 | 9 |
| 3 0 0 | 33.25 | 2.695 | 16 |
| 1 2 1 | 38.55 | 2.336 | 100 |
| 3 1 0 | 40.27 | 2.240 | 9 |
| 1 3 1 | 47.71 | 1.906 | 12 |
| 0 0 2 | 50.27 | 1.815 | 15 |
| 4 1 0 | 51.89 | 1.762 | 15 |
| 2 3 1 | 55.71 | 1.650 | 10 |
| 4 1 2 | 75.14 | 1.264 | 10 |

Structural model:
Cell lengths 9.3243, 9.3243, 3.6300 Å; angles 90.00, 90.00, 120.00 degrees
Space group P-6 (No. 174)
Inequivalent atoms, fractional coordinates:
Sm  0.0000  0.0000  0.0000 (multiplicity 1)
Sm  0.3333  0.6667  0.5000 (multiplicity 1)
Mn  0.0569  0.7680  0.5000 (multiplicity 3)
Mn  0.0921  0.3808  0.0000 (multiplicity 3)
Mn  0.3929  0.2139  0.0000 (multiplicity 3)
Mn  0.5456  0.1115  0.5000 (multiplicity 3)
P  0.0733  0.6218  0.0000 (multiplicity 3)
P  0.2626  0.0517  0.5000 (multiplicity 3)
P  0.6667  0.3333  0.0000 (multiplicity 1)